No. 1
Calculated PXRD pattern of YO3 for Cu Kα (λ = 1.5418 Å), from a crystal structure in the Materials Project, relaxed with GGA-PBE.
Intensities are scaled so that the largest is 1000.

Structure:
```
data_YO3
_space_group_name_H-M_alt 'P n m a'
_space_group_IT_number 62
_cell_length_a 6.3846
_cell_length_b 7.0005
_cell_length_c 4.5161
_cell_angle_alpha 90.00
_cell_angle_beta 90.00
_cell_angle_gamma 90.00
loop_
_space_group_symop_operation_xyz
'x,y,z'
'-x,-y,-z'
'-x+1/2,-y,z+1/2'
'x+1/2,y,-z+1/2'
'x+1/2,-y+1/2,-z+1/2'
'-x+1/2,y+1/2,z+1/2'
'-x,y+1/2,-z'
'x,-y+1/2,z'
loop_
_atom_site_label
_atom_site_fract_x
_atom_site_fract_y
_atom_site_fract_z
Y1 0.1119 0.2500 0.0706
O1 0.0141 0.7500 0.4236
O2 0.1914 0.5434 0.8644
```

Largest 10 diffraction maxima, in order of rising 2θ, 15° ≤ 2θ ≤ 90°:
(hkl)  2θ (°)  d [Å]  Rel. int.
0 1 1  23.4  3.795  452
1 0 1  24.1  3.687  891
0 2 0  25.4  3.500  780
1 1 1  27.3  3.262  1000
2 1 0  30.8  2.905  996
1 2 1  35.4  2.538  355
1 1 2  44.5  2.037  524
1 3 1  46.0  1.972  454
2 3 0  48.3  1.884  439
3 1 1  49.1  1.856  472

---

No. 2
Calculated PXRD pattern of TiMnCo2 for Cu Kα (λ = 1.5418 Å), from a crystal structure in the Materials Project, relaxed with GGA-PBE.
Intensities are scaled so that the largest is 1000.

Structure:
```
data_TiMnCo2
_space_group_name_H-M_alt 'F m -3 m'
_space_group_IT_number 225
_space_group_name_Hall '-F 4 2 3'
_cell_length_a 5.8423
_cell_length_b 5.8423
_cell_length_c 5.8423
_cell_angle_alpha 90.00
_cell_angle_beta 90.00
_cell_angle_gamma 90.00
loop_
_atom_site_label
_atom_site_fract_x
_atom_site_fract_y
_atom_site_fract_z
Ti1 0.0000 0.0000 0.0000
Mn1 0.0000 0.0000 0.5000
Co1 0.2500 0.2500 0.2500
```

Largest 4 diffraction maxima, in order of rising 2θ, 15° ≤ 2θ ≤ 90°:
(hkl)  2θ (°)  d [Å]  Rel. int.
2 0 0  30.6  2.921  11
2 2 0  43.8  2.066  1000
4 0 0  63.7  1.461  148
4 2 2  80.5  1.193  285

---

No. 3
Calculated PXRD pattern of ThGeO4 for Cu Kα (λ = 1.5418 Å), from a crystal structure in the Materials Project, relaxed with GGA-PBE.
Intensities are scaled so that the largest is 1000.

Structure:
```
data_ThGeO4
_space_group_name_H-M_alt 'I 41/a m d'
_space_group_IT_number 141
_cell_length_a 7.3061
_cell_length_b 7.3061
_cell_length_c 6.6009
_cell_angle_alpha 90.00
_cell_angle_beta 90.00
_cell_angle_gamma 90.00
loop_
_space_group_symop_operation_xyz
'x,y,z'
'-x,-y,-z'
'-y+1/4,x+3/4,z+1/4'
'y+1/4,-x+3/4,-z+1/4'
'-x+1/2,-y,z+1/2'
'x+1/2,y,-z+1/2'
'y+1/4,-x+1/4,z+3/4'
'-y+1/4,x+1/4,-z+3/4'
'x,-y,-z'
'-x,y,z'
'-y+1/4,-x+1/4,-z+3/4'
'y+1/4,x+1/4,z+3/4'
'-x+1/2,y,-z+1/2'
'x+1/2,-y,z+1/2'
'y+1/4,x+3/4,-z+1/4'
'-y+1/4,-x+3/4,z+1/4'
'x+1/2,y+1/2,z+1/2'
'-x+1/2,-y+1/2,-z+1/2'
'-y+3/4,x+1/4,z+3/4'
'y+3/4,-x+1/4,-z+3/4'
'-x,-y+1/2,z'
'x,y+1/2,-z'
'y+3/4,-x+3/4,z+1/4'
'-y+3/4,x+3/4,-z+1/4'
'x+1/2,-y+1/2,-z+1/2'
'-x+1/2,y+1/2,z+1/2'
'-y+3/4,-x+3/4,-z+1/4'
'y+3/4,x+3/4,z+1/4'
'-x,y+1/2,-z'
'x,-y+1/2,z'
'y+3/4,x+1/4,-z+3/4'
'-y+3/4,-x+1/4,z+3/4'
loop_
_atom_site_label
_atom_site_fract_x
_atom_site_fract_y
_atom_site_fract_z
Th1 0.0000 0.2500 0.3750
Ge1 0.0000 0.2500 0.8750
O1 0.0000 0.0680 0.6963
```

Largest 10 diffraction maxima, in order of rising 2θ, 15° ≤ 2θ ≤ 90°:
(hkl)  2θ (°)  d [Å]  Rel. int.
1 0 1  18.1  4.898  416
2 0 0  24.4  3.653  1000
2 1 1  30.5  2.928  161
1 1 2  32.2  2.781  809
2 2 0  34.7  2.583  272
3 1 2  48.1  1.893  649
4 0 0  49.9  1.826  216
4 2 0  56.3  1.634  193
3 3 2  60.7  1.527  186
5 1 2  71.8  1.314  164

---

No. 4
Calculated PXRD pattern of Sr3P6N8O6 for Cu Kα (λ = 1.5418 Å), from a crystal structure in the Materials Project, relaxed with GGA-PBE.
Intensities are scaled so that the largest is 1000.

Structure:
```
data_Sr3P6N8O6
_space_group_name_H-M_alt 'P -3'
_space_group_IT_number 147
_cell_length_a 7.3639
_cell_length_b 7.3639
_cell_length_c 6.1157
_cell_angle_alpha 90.00
_cell_angle_beta 90.00
_cell_angle_gamma 120.00
loop_
_space_group_symop_operation_xyz
'x,y,z'
'-x,-y,-z'
'-y,x-y,z'
'y,-x+y,-z'
'-x+y,-x,z'
'x-y,x,-z'
loop_
_atom_site_label
_atom_site_fract_x
_atom_site_fract_y
_atom_site_fract_z
Sr1 0.0000 0.0000 0.0000
Sr2 0.3333 0.6667 0.1169
P1 0.1761 0.3982 0.6098
N1 0.0273 0.3308 0.3957
N2 0.3333 0.6667 0.5799
O1 0.0748 0.3631 0.8378
```

Largest 10 diffraction maxima, in order of rising 2θ, 15° ≤ 2θ ≤ 90°:
(hkl)  2θ (°)  d [Å]  Rel. int.
1 1 0  24.2  3.682  339
1 1 1  28.3  3.154  1000
2 0 1  31.6  2.827  653
0 1 2  32.5  2.757  667
1 1 2  38.3  2.352  185
3 0 0  42.5  2.126  333
0 3 1  45.2  2.008  273
1 2 2  48.1  1.893  297
2 2 0  49.5  1.841  199
5 -3 2  71.5  1.320  254

---

No. 5
Calculated PXRD pattern of Nb3Tl2Br9 for Cu Kα (λ = 1.5418 Å), from a crystal structure in the Materials Project, relaxed with GGA-PBE.
Intensities are scaled so that the largest is 1000.

Structure:
```
data_Nb3Tl2Br9
_space_group_name_H-M_alt 'C 1 2/m 1'
_space_group_IT_number 12
_cell_length_a 11.4007
_cell_length_b 16.8763
_cell_length_c 10.3906
_cell_angle_alpha 90.00
_cell_angle_beta 117.22
_cell_angle_gamma 90.00
loop_
_space_group_symop_operation_xyz
'x,y,z'
'-x,-y,-z'
'-x,y,-z'
'x,-y,z'
'x+1/2,y+1/2,z'
'-x+1/2,-y+1/2,-z'
'-x+1/2,y+1/2,-z'
'x+1/2,-y+1/2,z'
loop_
_atom_site_label
_atom_site_fract_x
_atom_site_fract_y
_atom_site_fract_z
Nb1 0.1036 0.0000 0.3753
Nb2 0.1272 0.0881 0.6354
Tl1 0.1049 0.3447 0.8389
Br1 0.0000 0.2165 0.5000
Br2 0.0305 0.1075 0.8179
Br3 0.1843 0.5000 0.1691
Br4 0.1985 0.2916 0.1766
Br5 0.2195 0.3908 0.4877
Br6 0.2453 0.0000 0.2092
```

Largest 10 diffraction maxima, in order of rising 2θ, 15° ≤ 2θ ≤ 90°:
(hkl)  2θ (°)  d [Å]  Rel. int.
1 3 0  18.0  4.919  333
1 3 -2  23.3  3.817  300
2 4 -2  28.6  3.118  625
0 0 3  29.0  3.080  549
3 3 -2  29.3  3.051  253
3 3 0  30.9  2.896  368
2 4 1  31.8  2.813  1000
1 5 2  36.4  2.470  272
4 0 -4  38.9  2.313  534
2 4 -5  49.1  1.856  355

---

No. 6
Calculated PXRD pattern of Na5Cu3O6 for Cu Kα (λ = 1.5418 Å), from a crystal structure in the Materials Project, relaxed with GGA-PBE.
Intensities are scaled so that the largest is 1000.

Structure:
```
data_Na5Cu3O6
_space_group_name_H-M_alt 'P 1 21/c 1'
_space_group_IT_number 14
_cell_length_a 5.7077
_cell_length_b 17.0132
_cell_length_c 8.4395
_cell_angle_alpha 90.00
_cell_angle_beta 112.18
_cell_angle_gamma 90.00
loop_
_space_group_symop_operation_xyz
'x,y,z'
'-x,-y,-z'
'-x,y+1/2,-z+1/2'
'x,-y+1/2,z+1/2'
loop_
_atom_site_label
_atom_site_fract_x
_atom_site_fract_y
_atom_site_fract_z
Na1 0.1146 0.1313 0.3803
Na2 0.1164 0.5466 0.8805
Na3 0.1326 0.1781 0.9123
Na4 0.1347 0.7300 0.9096
Na5 0.1624 0.5525 0.4473
Cu1 0.4660 0.0438 0.7335
Cu2 0.4823 0.6228 0.2476
Cu3 0.4904 0.2101 0.7426
O1 0.2261 0.5416 0.1867
O2 0.2306 0.1326 0.6801
O3 0.2502 0.7121 0.1989
O4 0.2609 0.2049 0.2007
O5 0.2753 0.0379 0.2000
O6 0.2767 0.6263 0.7107
```

Largest 10 diffraction maxima, in order of rising 2θ, 15° ≤ 2θ ≤ 90°:
(hkl)  2θ (°)  d [Å]  Rel. int.
1 0 0  16.8  5.285  521
1 0 -2  22.6  3.930  855
0 0 2  22.8  3.908  1000
2 0 -2  33.0  2.716  389
1 0 2  33.3  2.693  379
1 6 1  39.8  2.266  380
1 0 -4  42.9  2.110  494
2 6 -1  45.1  2.011  563
2 6 -3  50.4  1.810  297
1 6 3  55.3  1.661  298

---

No. 7
Calculated PXRD pattern of Th2P3O13 for Cu Kα (λ = 1.5418 Å), from a crystal structure in the Materials Project, relaxed with GGA-PBE.
Intensities are scaled so that the largest is 1000.

Structure:
```
data_Th2P3O13
_space_group_name_H-M_alt 'P 1 21 1'
_space_group_IT_number 4
_cell_length_a 6.7868
_cell_length_b 7.1126
_cell_length_c 11.3252
_cell_angle_alpha 90.00
_cell_angle_beta 106.99
_cell_angle_gamma 90.00
loop_
_space_group_symop_operation_xyz
'x,y,z'
'-x,y+1/2,-z'
loop_
_atom_site_label
_atom_site_fract_x
_atom_site_fract_y
_atom_site_fract_z
Th1 0.0008 0.0000 0.2830
Th2 0.2982 0.5010 0.2796
P1 0.1278 0.0034 0.6339
P2 0.1601 0.2281 0.0141
P3 0.4936 0.4985 0.6296
O1 0.0025 0.1698 0.6658
O2 0.0051 0.7616 0.1121
O3 0.0184 0.8328 0.6762
O4 0.0592 0.1652 0.1137
O5 0.1024 0.9988 0.4952
O6 0.2794 0.4097 0.0690
O7 0.2853 0.6231 0.9077
O8 0.2917 0.0735 0.9795
O9 0.3177 0.4875 0.6879
O10 0.3506 0.8334 0.3212
O11 0.3585 0.0141 0.7059
O12 0.3686 0.1756 0.3278
O13 0.4098 0.4947 0.4881
```

Largest 10 diffraction maxima, in order of rising 2θ, 15° ≤ 2θ ≤ 90°:
(hkl)  2θ (°)  d [Å]  Rel. int.
0 0 2  16.4  5.415  1000
1 1 -1  18.5  4.788  866
1 1 1  21.8  4.071  452
1 1 -2  21.9  4.050  358
0 0 3  24.7  3.610  435
0 2 0  25.0  3.556  683
2 1 -1  29.2  3.063  801
0 2 2  30.1  2.973  560
3 0 2  49.8  1.832  360
1 1 -6  50.0  1.825  325

---

No. 8
Calculated PXRD pattern of NaB4Ir3 for Cu Kα (λ = 1.5418 Å), from a crystal structure in the Materials Project, relaxed with GGA-PBE.
Intensities are scaled so that the largest is 1000.

Structure:
```
data_NaB4Ir3
_space_group_name_H-M_alt 'A e m 2'
_space_group_IT_number 39
_cell_length_a 8.3157
_cell_length_b 10.0110
_cell_length_c 11.4354
_cell_angle_alpha 90.00
_cell_angle_beta 90.00
_cell_angle_gamma 90.00
loop_
_space_group_symop_operation_xyz
'x,y,z'
'-x,-y,z'
'-x,y+1/2,z'
'x,-y+1/2,z'
'x,y+1/2,z+1/2'
'-x,-y+1/2,z+1/2'
'-x,y,z+1/2'
'x,-y,z+1/2'
loop_
_atom_site_label
_atom_site_fract_x
_atom_site_fract_y
_atom_site_fract_z
Na1 0.0000 0.0000 0.0000
Na2 0.3236 0.2500 0.4081
B1 0.0000 0.1606 0.2494
B2 0.3153 0.1563 0.9994
B3 0.3371 0.0790 0.1337
B4 0.3373 0.0798 0.8645
Ir1 0.1653 0.0001 0.2494
Ir2 0.1869 0.2500 0.8584
Ir3 0.1878 0.2500 0.1407
Ir4 0.5000 0.0000 0.2494
Ir5 0.5000 0.0000 0.4994
```

Largest 10 diffraction maxima, in order of rising 2θ, 15° ≤ 2θ ≤ 90°:
(hkl)  2θ (°)  d [Å]  Rel. int.
0 0 2  15.5  5.718  567
1 1 1  15.9  5.583  634
0 2 0  17.7  5.006  344
1 2 0  20.7  4.289  317
2 2 0  27.9  3.198  380
3 0 0  32.3  2.772  533
0 4 0  35.9  2.503  543
0 2 4  36.2  2.482  1000
3 4 0  49.0  1.858  422
3 2 4  49.3  1.849  768

---

No. 9
Calculated PXRD pattern of Rb2PuCl5 for Cu Kα (λ = 1.5418 Å), from a crystal structure in the Materials Project, relaxed with GGA-PBE.
Intensities are scaled so that the largest is 1000.

Structure:
```
data_Rb2PuCl5
_space_group_name_H-M_alt 'P n m a'
_space_group_IT_number 62
_cell_length_a 13.5740
_cell_length_b 8.9028
_cell_length_c 8.3395
_cell_angle_alpha 90.00
_cell_angle_beta 90.00
_cell_angle_gamma 90.00
loop_
_space_group_symop_operation_xyz
'x,y,z'
'-x,-y,-z'
'-x+1/2,-y,z+1/2'
'x+1/2,y,-z+1/2'
'x+1/2,-y+1/2,-z+1/2'
'-x+1/2,y+1/2,z+1/2'
'-x,y+1/2,-z'
'x,-y+1/2,z'
loop_
_atom_site_label
_atom_site_fract_x
_atom_site_fract_y
_atom_site_fract_z
Rb1 0.1712 0.0020 0.0438
Pu1 0.0015 0.2500 0.5609
Cl1 0.0129 0.2500 0.8986
Cl2 0.0776 0.5387 0.6532
Cl3 0.1698 0.2500 0.3767
Cl4 0.1924 0.7500 0.3408
```

Largest 10 diffraction maxima, in order of rising 2θ, 15° ≤ 2θ ≤ 90°:
(hkl)  2θ (°)  d [Å]  Rel. int.
0 0 2  21.3  4.170  413
3 0 1  22.4  3.977  899
1 2 1  23.6  3.772  1000
2 2 0  23.9  3.722  597
1 2 2  30.1  2.967  408
2 2 2  32.2  2.777  579
4 2 0  33.2  2.699  408
2 1 3  36.4  2.471  340
6 0 0  39.8  2.264  391
5 2 1  40.4  2.233  498